This entry pairs a crystal structure of SmDy3Pb2 with its calculated X-ray powder pattern. Radiation: a wavelength of 1.5418 Å. Structure: a DFT-relaxed cell (GGA-PBE, Alexandria).

Largest 8 diffraction maxima, most intense first, 5° ≤ 2θ ≤ 70°:
(1 1 2), 34.7 deg, rel. 100; (1 1 1), 29.5 deg, rel. 81; (2 0 0), 39.4 deg, rel. 60; (2 0 3), 51.0 deg, rel. 42; (0 0 3), 31.0 deg, rel. 42; (2 2 0), 57.0 deg, rel. 29; (3 1 2), 68.5 deg, rel. 28; (1 1 0), 27.6 deg, rel. 25

Structure:
abc: 4.5700 4.5700 8.6435
angles: 90.00 90.00 90.00
Space group P-4m2 (No. 115)
Symmetry-distinct sites (fractional):
Sm 0.0000 0.0000 0.0000
Dy 0.0000 0.5000 0.3432
Dy 0.5000 0.5000 0.0000
Pb 0.0000 0.5000 0.7122

=====

This entry pairs a crystal structure of Sm3DyGa with its calculated X-ray powder pattern. Radiation: a wavelength of 1.5418 Å. Structure: a DFT-relaxed cell (GGA-PBE, Alexandria).

Largest 8 diffraction maxima, most intense first, 5° ≤ 2θ ≤ 70°:
(0 0 2), 30.2 deg, rel. 100; (4 0 -1), 31.6 deg, rel. 63; (2 2 1), 37.4 deg, rel. 39; (2 2 0), 27.7 deg, rel. 37; (4 0 -3), 36.0 deg, rel. 31; (6 2 -3), 50.4 deg, rel. 19; (2 2 -1), 24.7 deg, rel. 18; (4 0 1), 51.5 deg, rel. 17

Structure:
abc: 11.9937 9.0995 7.7911
angles: 90.00 130.47 90.00
Space group C2/m (No. 12)
Symmetry-distinct sites (fractional):
Sm 0.0575 0.0000 0.3343
Sm 0.2272 0.3101 0.7613
Dy 0.0626 0.5000 0.2652
Ga 0.2464 0.5000 0.1208

=====

This entry pairs a crystal structure of Ti23Pb6 with its calculated X-ray powder pattern. Radiation: a wavelength of 1.5418 Å. Structure: a DFT-relaxed cell (GGA-PBE, Alexandria).

Largest 8 diffraction maxima, most intense first, 5° ≤ 2θ ≤ 70°:
(4 4 0), 38.8 deg, rel. 100; (2 2 2), 23.5 deg, rel. 52; (3 3 3), 35.6 deg, rel. 50; (4 0 0), 27.2 deg, rel. 30; (4 2 2), 33.5 deg, rel. 27; (7 3 1), 53.7 deg, rel. 19; (2 2 0), 19.1 deg, rel. 16; (4 2 0), 30.5 deg, rel. 15

Structure:
abc: 13.1130 13.1130 13.1130
angles: 90.00 90.00 90.00
Space group Fm-3m (No. 225)
Symmetry-distinct sites (fractional):
Ti 0.0000 0.0000 0.0000
Ti 0.0000 0.2500 0.2500
Ti 0.1207 0.1207 0.1207
Ti 0.1668 0.1668 0.3332
Pb 0.0000 0.0000 0.2773

=====

This entry pairs a crystal structure of NiPPt2 with its calculated X-ray powder pattern. Radiation: a wavelength of 1.5418 Å. Structure: a DFT-relaxed cell (GGA-PBE, Alexandria).

Largest 8 diffraction maxima, most intense first, 5° ≤ 2θ ≤ 70°:
(2 2 2), 41.0 deg, rel. 100; (2 0 2), 33.1 deg, rel. 65; (1 3 1), 39.4 deg, rel. 39; (0 2 0), 23.5 deg, rel. 34; (0 0 4), 46.6 deg, rel. 28; (3 1 1), 39.6 deg, rel. 17; (1 3 3), 52.0 deg, rel. 17; (4 0 0), 48.4 deg, rel. 16

Structure:
abc: 7.5191 7.5685 7.7965
angles: 90.00 90.00 90.00
Space group Fmmm (No. 69)
Symmetry-distinct sites (fractional):
Ni 0.1666 0.0000 0.0000
P 0.0000 0.0000 0.2398
Pt 0.0000 0.1786 0.5000
Pt 0.2500 0.2500 0.2500

=====

This entry pairs a crystal structure of CsHoMoN3 with its calculated X-ray powder pattern. Radiation: a wavelength of 1.5418 Å. Structure: a DFT-relaxed cell (GGA-PBE, Alexandria).

Largest 8 diffraction maxima, most intense first, 5° ≤ 2θ ≤ 70°:
(1 1 -2), 30.8 deg, rel. 100; (3 1 0), 30.7 deg, rel. 87; (0 0 1), 10.5 deg, rel. 49; (2 0 2), 27.6 deg, rel. 44; (4 0 -2), 30.2 deg, rel. 41; (6 0 0), 41.1 deg, rel. 23; (0 2 0), 46.6 deg, rel. 21; (7 1 -2), 53.8 deg, rel. 16

Structure:
abc: 13.5583 3.8961 8.7110
angles: 90.00 103.69 90.00
Space group C2/m (No. 12)
Symmetry-distinct sites (fractional):
Cs 0.1446 0.0000 0.0727
Ho 0.1614 0.0000 0.5733
Mo 0.0076 0.5000 0.3404
N 0.0136 0.0000 0.3623
N 0.1318 0.5000 0.7578
N 0.1634 0.5000 0.3828

=====

This entry pairs a crystal structure of Ce4Ge2N with its calculated X-ray powder pattern. Radiation: a wavelength of 1.5418 Å. Structure: a DFT-relaxed cell (GGA-PBE, Alexandria).

Largest 8 diffraction maxima, most intense first, 5° ≤ 2θ ≤ 70°:
(1 1 2), 29.2 deg, rel. 100; (1 1 4), 35.6 deg, rel. 94; (2 0 0), 38.2 deg, rel. 69; (0 0 6), 34.7 deg, rel. 52; (2 0 6), 52.6 deg, rel. 52; (3 1 4), 67.4 deg, rel. 29; (2 2 0), 55.1 deg, rel. 23; (2 2 6), 66.8 deg, rel. 22

Structure:
abc: 4.7108 4.7108 15.4876
angles: 90.00 90.00 90.00
Space group I4/mmm (No. 139)
Symmetry-distinct sites (fractional):
Ce 0.0000 0.0000 0.1683
Ce 0.0000 0.5000 0.0000
Ge 0.0000 0.0000 0.3641
N 0.0000 0.0000 0.0000

=====

This entry pairs a crystal structure of Na3SrCa with its calculated X-ray powder pattern. Radiation: a wavelength of 1.5418 Å. Structure: a DFT-relaxed cell (GGA-PBE, Alexandria).

Largest 8 diffraction maxima, most intense first, 5° ≤ 2θ ≤ 70°:
(1 2 1), 24.5 deg, rel. 100; (1 2 3), 31.1 deg, rel. 75; (2 0 2), 28.6 deg, rel. 54; (0 0 4), 26.8 deg, rel. 46; (0 0 2), 13.3 deg, rel. 24; (3 2 3), 48.3 deg, rel. 21; (3 2 1), 44.0 deg, rel. 20; (2 0 0), 25.3 deg, rel. 17

Structure:
abc: 7.0542 8.9586 13.3066
angles: 90.00 90.00 90.00
Space group Pnma (No. 62)
Symmetry-distinct sites (fractional):
Na 0.0046 0.2500 0.2080
Na 0.2470 0.0695 0.7497
Sr 0.9999 0.2500 0.4900
Ca 0.0000 0.0000 0.0000

=====

This entry pairs a crystal structure of Li2BeAg with its calculated X-ray powder pattern. Radiation: a wavelength of 1.5418 Å. Structure: a DFT-relaxed cell (GGA-PBE, Alexandria).

Largest 7 diffraction maxima, most intense first, 5° ≤ 2θ ≤ 70°:
(1 1 1), 25.7 deg, rel. 100; (2 2 0), 42.7 deg, rel. 54; (2 0 0), 29.8 deg, rel. 50; (3 1 1), 50.5 deg, rel. 45; (3 3 1), 68.2 deg, rel. 17; (2 2 2), 52.9 deg, rel. 13; (4 0 0), 61.9 deg, rel. 9

Structure:
abc: 5.9949 5.9949 5.9949
angles: 90.00 90.00 90.00
Space group F-43m (No. 216)
Symmetry-distinct sites (fractional):
Li 0.0000 0.0000 0.0000
Li 0.2500 0.2500 0.2500
Be 0.2500 0.2500 0.7500
Ag 0.0000 0.0000 0.5000

=====

This entry pairs a crystal structure of KNa2ZnF8 with its calculated X-ray powder pattern. Radiation: a wavelength of 1.5418 Å. Structure: a DFT-relaxed cell (GGA-PBE, Alexandria).

Largest 8 diffraction maxima, most intense first, 5° ≤ 2θ ≤ 70°:
(1 0 -2), 37.1 deg, rel. 100; (0 0 1), 12.2 deg, rel. 98; (0 2 0), 33.2 deg, rel. 73; (1 0 2), 28.9 deg, rel. 59; (1 -1 0), 28.2 deg, rel. 56; (1 -2 2), 45.7 deg, rel. 52; (0 1 0), 16.4 deg, rel. 47; (1 2 2), 43.4 deg, rel. 46

Structure:
abc: 4.1377 5.4115 7.4987
angles: 88.30 76.12 87.26
Space group P-1 (No. 2)
Symmetry-distinct sites (fractional):
K 0.0000 0.0000 0.0000
Na 0.3985 0.4833 0.2960
Zn 0.0000 0.0000 0.5000
F 0.1416 0.6844 0.5893
F 0.2341 0.1985 0.6492
F 0.2487 0.5006 0.0025
F 0.3791 0.0145 0.2590

=====

This entry pairs a crystal structure of SmI3O10 with its calculated X-ray powder pattern. Radiation: a wavelength of 1.5418 Å. Structure: a DFT-relaxed cell (GGA-PBE, Alexandria).

Largest 8 diffraction maxima, most intense first, 5° ≤ 2θ ≤ 70°:
(2 1 -1), 27.3 deg, rel. 100; (2 1 -2), 29.4 deg, rel. 57; (1 1 1), 22.1 deg, rel. 56; (0 1 2), 22.9 deg, rel. 46; (0 2 0), 26.5 deg, rel. 46; (1 0 2), 25.5 deg, rel. 37; (1 1 -3), 30.1 deg, rel. 37; (1 0 -3), 26.9 deg, rel. 35

Structure:
abc: 7.4956 6.7346 10.0312
angles: 90.00 108.14 90.00
Space group P2_1 (No. 4)
Symmetry-distinct sites (fractional):
Sm 0.2450 0.0000 0.3090
I 0.1022 0.8696 0.9101
I 0.1691 0.4724 0.5434
I 0.4784 0.5227 0.2775
O 0.0071 0.6126 0.8944
O 0.0358 0.3656 0.6514
O 0.1112 0.2785 0.4080
O 0.2559 0.8273 0.0943
O 0.2709 0.8185 0.8131
O 0.2966 0.6420 0.3412
O 0.3283 0.0771 0.9614
O 0.3555 0.9501 0.5549
O 0.3573 0.2874 0.2260
O 0.4085 0.4024 0.6479

=====

This entry pairs a crystal structure of PmHo6Tm8 with its calculated X-ray powder pattern. Radiation: a wavelength of 1.5418 Å. Structure: a DFT-relaxed cell (GGA-PBE, Alexandria).

Largest 8 diffraction maxima, most intense first, 5° ≤ 2θ ≤ 70°:
(1 2 1), 32.5 deg, rel. 100; (2 -1 2), 33.9 deg, rel. 98; (3 0 0), 33.2 deg, rel. 74; (2 0 1), 26.1 deg, rel. 39; (5 -3 1), 51.3 deg, rel. 24; (5 -4 1), 53.9 deg, rel. 20; (3 0 1), 36.2 deg, rel. 19; (1 0 2), 30.0 deg, rel. 19

Structure:
abc: 9.3379 9.3379 6.4066
angles: 90.00 90.00 120.00
Space group P-3 (No. 147)
Symmetry-distinct sites (fractional):
Pm 0.0000 0.0000 0.0000
Ho 0.0999 0.4182 0.9119
Tm 0.0247 0.6859 0.5921
Tm 0.3333 0.6667 0.3384

=====

This entry pairs a crystal structure of Dy3Cd2Pd8 with its calculated X-ray powder pattern. Radiation: a wavelength of 1.5418 Å. Structure: a DFT-relaxed cell (GGA-PBE, Alexandria).

Largest 8 diffraction maxima, most intense first, 5° ≤ 2θ ≤ 70°:
(0 1 11), 37.7 deg, rel. 100; (2 0 2), 38.9 deg, rel. 47; (1 1 0), 33.2 deg, rel. 43; (1 2 11), 62.2 deg, rel. 38; (2 0 5), 41.3 deg, rel. 31; (2 2 0), 69.6 deg, rel. 24; (0 2 4), 40.3 deg, rel. 22; (1 1 9), 42.8 deg, rel. 13

Structure:
abc: 5.4041 5.4041 30.5135
angles: 90.00 90.00 120.00
Space group R-3m (No. 166, hexagonal axes)
Symmetry-distinct sites (fractional):
Dy 0.0000 0.0000 0.0000
Dy 0.0000 0.0000 0.1897
Cd 0.0000 0.0000 0.3655
Pd 0.0000 0.0000 0.2800
Pd 0.0031 0.5016 0.7718

=====

This entry pairs a crystal structure of NaB2Pt with its calculated X-ray powder pattern. Radiation: a wavelength of 1.5418 Å. Structure: a DFT-relaxed cell (GGA-PBE, Alexandria).

Largest 8 diffraction maxima, most intense first, 5° ≤ 2θ ≤ 70°:
(1 1 2), 31.5 deg, rel. 100; (1 0 1), 21.1 deg, rel. 94; (1 0 3), 28.3 deg, rel. 33; (0 0 4), 26.6 deg, rel. 32; (2 0 4), 49.3 deg, rel. 29; (1 1 6), 50.1 deg, rel. 27; (2 0 0), 40.7 deg, rel. 25; (3 1 2), 68.3 deg, rel. 22

Structure:
abc: 4.4377 4.4377 13.4012
angles: 90.00 90.00 90.00
Space group I4_1/amd (No. 141, origin choice 2)
Symmetry-distinct sites (fractional):
Na 0.0000 0.2500 0.3750
B 0.0000 0.0000 0.0000
Pt 0.0000 0.2500 0.8750